Structure and calculated PXRD pattern of Dy2ErGa4Ni (a DFT-relaxed cell (GGA-PBE, OQMD); Cu Ka).

```
data_Dy2ErGa4Ni
_space_group_name_H-M_alt 'A m m 2'
_space_group_IT_number 38
_cell_length_a 6.6095
_cell_length_b 3.6626
_cell_length_c 13.7324
_cell_angle_alpha 90.00
_cell_angle_beta 90.00
_cell_angle_gamma 90.00
loop_
_space_group_symop_operation_xyz
'x,y,z'
'-x,-y,z'
'-x,y,z'
'x,-y,z'
'x,y+1/2,z+1/2'
'-x,-y+1/2,z+1/2'
'-x,y+1/2,z+1/2'
'x,-y+1/2,z+1/2'
loop_
_atom_site_label
_atom_site_type_symbol
_atom_site_fract_x
_atom_site_fract_y
_atom_site_fract_z
Dy1 Dy 0.0000 0.0000 0.0000
Dy2 Dy 0.5000 0.0000 0.4652
Er1 Er 0.0000 0.0000 0.2682
Ga1 Ga 0.2547 0.0000 0.6380
Ga2 Ga 0.3109 0.0000 0.8250
Ni1 Ni 0.5000 0.0000 0.2033
```

The 8 most intense peaks (10° ≤ 2θ ≤ 90°), most intense first:
2θ/deg	intensity	hkl
34.16	100	1 1 3
37.23	72	2 1 1
37.78	62	2 0 4
28.61	52	1 1 1
41.08	40	0 1 5
49.79	27	0 2 0
64.16	26	2 2 4
29.31	25	1 0 4

=====

Structure and calculated PXRD pattern of Sr3Pr2O7 (a DFT-relaxed cell (GGA-PBE, OQMD); Cu Ka).

```
data_Sr3Pr2O7
_space_group_name_H-M_alt 'I 4/m m m'
_space_group_IT_number 139
_space_group_name_Hall '-I 4 2'
_cell_length_a 4.5031
_cell_length_b 4.5031
_cell_length_c 21.4294
_cell_angle_alpha 90.00
_cell_angle_beta 90.00
_cell_angle_gamma 90.00
loop_
_atom_site_label
_atom_site_type_symbol
_atom_site_fract_x
_atom_site_fract_y
_atom_site_fract_z
Sr1 Sr 0.0000 0.0000 0.0000
Sr2 Sr 0.0000 0.0000 0.1831
Pr1 Pr 0.0000 0.0000 0.3949
O1 O 0.0000 0.0000 0.2896
O2 O 0.0000 0.0000 0.5000
O3 O 0.0000 0.5000 0.1007
```

The 8 most intense peaks (10° ≤ 2θ ≤ 90°), most intense first:
2θ/deg	intensity	hkl
28.76	100	1 0 5
28.02	68	1 1 0
50.04	44	2 1 5
40.05	40	2 0 0
16.55	17	0 0 4
59.56	16	2 0 10
51.40	16	1 1 10
42.97	16	1 0 9

=====

Please write out number 2 again, unchanged.
Structure and calculated PXRD pattern of Sr3Pr2O7 (a DFT-relaxed cell (GGA-PBE, OQMD); Cu Ka).

```
data_Sr3Pr2O7
_space_group_name_H-M_alt 'I 4/m m m'
_space_group_IT_number 139
_space_group_name_Hall '-I 4 2'
_cell_length_a 4.5031
_cell_length_b 4.5031
_cell_length_c 21.4294
_cell_angle_alpha 90.00
_cell_angle_beta 90.00
_cell_angle_gamma 90.00
loop_
_atom_site_label
_atom_site_type_symbol
_atom_site_fract_x
_atom_site_fract_y
_atom_site_fract_z
Sr1 Sr 0.0000 0.0000 0.0000
Sr2 Sr 0.0000 0.0000 0.1831
Pr1 Pr 0.0000 0.0000 0.3949
O1 O 0.0000 0.0000 0.2896
O2 O 0.0000 0.0000 0.5000
O3 O 0.0000 0.5000 0.1007
```

The 8 most intense peaks (10° ≤ 2θ ≤ 90°), most intense first:
2θ/deg	intensity	hkl
28.76	100	1 0 5
28.02	68	1 1 0
50.04	44	2 1 5
40.05	40	2 0 0
16.55	17	0 0 4
59.56	16	2 0 10
51.40	16	1 1 10
42.97	16	1 0 9